Diffraction record for Tl4SeCl3. The X-ray diffraction stick pattern is computed, not measured: it uses a structure optimized by DFT (PBE) and Cu Kα (weighted mean of Kα1 and Kα2).
Kinematic intensities with the Lorentz-polarization factor, no thermal factor.

Cell lengths 6.067, 13.201, 6.548 Å; angles 90.00, 90.00, 90.00 degrees
Sites, in units of the cell vectors:
Tl: 0.250 0.001 0.223
Tl: 0.250 0.250 0.731
Tl: 0.250 0.499 0.223
Tl: 0.250 0.750 0.741
Tl: 0.750 0.250 0.259
Tl: 0.750 0.501 0.777
Tl: 0.750 0.750 0.269
Tl: 0.750 0.999 0.777
Se: 0.250 0.250 0.237
Se: 0.750 0.750 0.763
Cl: 0.250 0.511 0.704
Cl: 0.250 0.750 0.281
Cl: 0.250 0.989 0.704
Cl: 0.750 0.011 0.296
Cl: 0.750 0.250 0.719
Cl: 0.750 0.489 0.296

Largest 10 diffraction maxima, low angle first, 5 to 70 degrees two-theta:
hkl, 2theta, I/Imax
1 2 1, 24.12, 1000
0 4 0, 27.02, 516
0 0 2, 27.24, 463
2 0 0, 29.45, 416
0 4 2, 38.74, 361
2 4 0, 40.39, 352
2 0 2, 40.54, 319
1 6 1, 46.02, 197
1 2 3, 46.30, 172
2 4 2, 49.40, 359